This entry pairs a crystal structure of FeCoCuF6 with its computed powder XRD pattern. Radiation: λ = 1.5418 Å (Cu Kα). Structure: DFT lattice parameters and positions (GGA+U).
Intensities are scaled so that the largest is 100.

Atomic structure:
Cell: 4.7221 4.7221 9.8035 Å, 90.00 90.00 90.00°
Positions (direct):
Fe: 0.0000 0.0000 0.0000
Fe: 0.5000 0.5000 0.5000
Co: 0.0000 0.0000 0.6669
Co: 0.5000 0.5000 0.1669
Cu: 0.0000 0.0000 0.3328
Cu: 0.5000 0.5000 0.8328
F: 0.1992 0.1992 0.1630
F: 0.1989 0.1989 0.5040
F: 0.1986 0.1986 0.8331
F: 0.3011 0.6989 0.0040
F: 0.3014 0.6986 0.3331
F: 0.3008 0.6992 0.6630
F: 0.6989 0.3011 0.0040
F: 0.6986 0.3014 0.3331
F: 0.6992 0.3008 0.6630
F: 0.8008 0.8008 0.1630
F: 0.8011 0.8011 0.5040
F: 0.8014 0.8014 0.8331

Most intense lines, 5° ≤ 2θ ≤ 70°, by intensity:
index  2theta  d/Å  I (rel.)
1 1 0  26.70  3.339  100
2 1 3  51.53  1.774  69
1 0 3  33.34  2.687  63
3 0 3  65.86  1.418  24
2 2 0  55.00  1.670  20
1 1 3  38.55  2.335  20
1 1 6  63.37  1.468  15
0 0 6  56.31  1.634  12
3 1 0  62.16  1.493  11
2 0 0  38.11  2.361  9
2 1 0  42.82  2.112  5
3 1 3  69.17  1.358  2